This entry pairs a crystal structure of Li2Ni3SnO8 with its simulated powder diffractogram. Radiation: Cu Kα, 1.54184 Å. Structure: a structure optimized by DFT (GGA+U).
Peak positions follow from Bragg's law for the DFT cell and can differ from measured ones.

Structure:
```
data_Li2Ni3SnO8
_chemical_formula_sum 'Li8 Ni12 Sn4 O32'
_cell_length_a 8.440
_cell_length_b 8.440
_cell_length_c 8.151
_cell_angle_alpha 90.00
_cell_angle_beta 90.00
_cell_angle_gamma 90.00
_space_group_name_H-M_alt 'P 43 21 2'
_space_group_IT_number 96
loop_
_space_group_symop_operation_xyz
'x,y,z'
'-y+1/2,x+1/2,z+3/4'
'-x,-y,z+1/2'
'y+1/2,-x+1/2,z+1/4'
'x+1/2,-y+1/2,-z+1/4'
'-y,-x,-z+1/2'
'-x+1/2,y+1/2,-z+3/4'
'y,x,-z'
loop_
_atom_site_label
_atom_site_type_symbol
_atom_site_fract_x
_atom_site_fract_y
_atom_site_fract_z
_atom_site_occupancy
Li1 Li 0.001 0.248 0.377 1
Ni1 Ni 0.120 0.373 0.738 1
Ni2 Ni 0.130 0.870 0.250 1
Sn1 Sn 0.126 0.126 0.000 1
O1 O 0.095 0.132 0.747 1
O2 O 0.117 0.373 0.971 1
O3 O 0.117 0.644 0.257 1
O4 O 0.123 0.856 0.481 1
```

Most intense lines, 10° ≤ 2θ ≤ 90°, by angle:
18.43 deg, intensity 100; 35.39 deg, intensity 36; 36.33 deg, intensity 16; 37.35 deg, intensity 22; 42.86 deg, intensity 36; 44.46 deg, intensity 15; 47.77 deg, intensity 9; 56.76 deg, intensity 13; 62.22 deg, intensity 11; 63.46 deg, intensity 20; 74.87 deg, intensity 8; 79.64 deg, intensity 9